# ThCr2Si2
Computed powder XRD pattern, copper Kα. Input: the PBE geometry in the Materials Project.

Principal peaks in the range 10° ≤ 2θ ≤ 90°, low angle first:
2θ = 23.76°, rel. 82.6; 2θ = 33.88°, rel. 92.2; 2θ = 35.98°, rel. 100.0; 2θ = 45.29°, rel. 35.1; 2θ = 48.67°, rel. 33.5; 2θ = 57.75°, rel. 49.0

Structure:
```
5
Lattice="-2.002 2.002 5.288 2.002 -2.002 5.288 2.002 2.002 -5.288" Properties=species:S:1:pos:R:3 pbc="T T T"
Th 0.000 0.000 0.000
Cr 2.002 0.000 2.644
Cr 0.000 2.002 2.644
Si 0.000 0.000 3.997
Si 0.000 0.000 6.580
```